Entry 1:
For Ru2W3, DFT lattice parameters and positions (GGA-PBE) gives the simulated X-ray diffraction stick pattern in this record (Cu Kα (λ = 1.5418 Å)).

Most intense lines, 15° ≤ 2θ ≤ 90°, by intensity:
two_theta	intensity
39.57	100.0
41.36	48.9
40.64	24.6
48.42	21.9
43.62	15.8
67.71	14.0
38.23	11.7
82.11	11.3
80.58	10.9
73.76	9.5

Cell and atoms:
```
Ru2W3
1.0
0.0000 6.6760 2.4639
4.7082 0.0000 2.4639
4.7082 6.6760 0.0000
Ru W
4 6
direct
0.0219 0.4781 0.0809
0.1691 0.8309 0.2281
0.4781 0.0219 0.4191
0.8309 0.1691 0.7719
0.0587 0.0587 0.9413
0.3087 0.3087 0.1913
0.4938 0.5868 0.2996
0.5868 0.4938 0.6198
0.6302 0.9504 0.6632
0.9504 0.6302 0.7562
```

=====

Entry 2:
For Al5Ni4Pd, DFT lattice parameters and positions (GGA-PBE) gives the simulated X-ray diffraction stick pattern in this record (Cu Kα (λ = 1.5418 Å)).

Most intense lines, 15° ≤ 2θ ≤ 90°, by intensity:
two_theta	intensity
43.67	100.0
30.50	30.5
80.21	29.0
63.47	15.1
72.04	8.7
54.20	7.5
39.37	3.3
35.72	1.7
24.30	1.3
32.90	1.3

Cell and atoms:
```
Al5Ni4Pd
1.0
2.9321 0.0000 0.0000
0.0000 2.9321 0.0000
0.0000 0.0000 14.6491
Al Ni Pd
5 4 1
direct
0.0000 0.0000 0.0000
0.0000 0.0000 0.1937
0.0000 0.0000 0.3868
0.0000 0.0000 0.6132
0.0000 0.0000 0.8063
0.5000 0.5000 0.0965
0.5000 0.5000 0.2904
0.5000 0.5000 0.7096
0.5000 0.5000 0.9035
0.5000 0.5000 0.5000
```

=====

Entry 3:
For BaAl, DFT lattice parameters and positions (GGA-PBE) gives the simulated X-ray diffraction stick pattern in this record (Cu Kα (λ = 1.5418 Å)).

Most intense lines, 15° ≤ 2θ ≤ 90°, by intensity:
two_theta	intensity
26.64	100.0
20.84	98.6
28.68	81.7
48.33	78.1
25.60	52.2
23.32	46.7
33.23	40.9
22.11	38.4
29.63	34.4
24.49	30.1

Cell and atoms:
```
BaAl
1.0
12.0626 0.0000 0.0000
0.0000 12.0626 0.0000
0.0000 0.0000 4.5547
Ba Al
8 8
direct
0.0170 0.2249 0.0000
0.2249 0.9830 0.0000
0.2871 0.6590 0.5000
0.3410 0.2871 0.5000
0.6590 0.7129 0.5000
0.7129 0.3410 0.5000
0.7751 0.0170 0.0000
0.9830 0.7751 0.0000
0.0722 0.4157 0.5000
0.1138 0.5268 0.0000
0.4157 0.9278 0.5000
0.4732 0.1138 0.0000
0.5268 0.8862 0.0000
0.5843 0.0722 0.5000
0.8862 0.4732 0.0000
0.9278 0.5843 0.5000
```

=====

Entry 4:
For TlIn3Hg8, DFT lattice parameters and positions (GGA-PBE) gives the simulated X-ray diffraction stick pattern in this record (Cu Kα (λ = 1.5418 Å)).

Most intense lines, 15° ≤ 2θ ≤ 90°, by intensity:
two_theta	intensity
34.58	100.0
26.25	23.8
37.04	20.9
37.89	19.6
22.11	17.8
65.18	16.1
66.31	15.3
54.03	14.1
45.10	11.9
21.73	11.7

Cell and atoms:
```
TlIn3Hg8
1.0
0.0000 4.8539 8.0416
4.7493 0.0000 8.0416
4.7493 4.8539 0.0000
Tl In Hg
1 3 8
direct
0.0000 0.0000 0.0000
0.2500 0.2500 0.2500
0.5000 0.5000 0.5000
0.7500 0.7500 0.7500
0.1246 0.6177 0.8754
0.1274 0.6203 0.3797
0.3797 0.8726 0.1274
0.3823 0.8754 0.6177
0.6177 0.1246 0.3823
0.6203 0.1274 0.8726
0.8726 0.3797 0.6203
0.8754 0.3823 0.1246
```

=====

Entry 5:
For Zr7In2N2, DFT lattice parameters and positions (GGA-PBE) gives the simulated X-ray diffraction stick pattern in this record (Cu Kα (λ = 1.5418 Å)).

Most intense lines, 15° ≤ 2θ ≤ 90°, by intensity:
two_theta	intensity
35.12	100.0
32.79	82.2
42.01	66.2
34.17	48.7
30.78	44.4
36.07	43.7
29.63	42.0
42.24	40.6
35.85	37.5
34.48	21.8

Cell and atoms:
```
Zr7In2N2
1.0
5.2790 -3.4877 0.0000
5.2790 3.4877 0.0000
-0.6474 0.0000 5.9945
Zr In N
7 2 2
direct
0.0000 0.0000 0.0000
0.0608 0.5060 0.7739
0.4326 0.4326 0.1898
0.4940 0.9392 0.2261
0.5060 0.0608 0.7739
0.5674 0.5674 0.8102
0.9392 0.4940 0.2261
0.1917 0.8083 0.5000
0.8083 0.1917 0.5000
0.2246 0.2246 0.0238
0.7754 0.7754 0.9762
```

=====

Entry 6:
For Pu2Bi2H, DFT lattice parameters and positions (GGA-PBE) gives the simulated X-ray diffraction stick pattern in this record (Cu Kα (λ = 1.5418 Å)).

Most intense lines, 15° ≤ 2θ ≤ 90°, by intensity:
two_theta	intensity
32.11	100.0
34.73	68.7
32.43	46.0
33.39	45.6
44.62	35.2
25.96	25.2
44.06	25.2
50.51	21.5
16.05	17.9
61.91	16.2

Cell and atoms:
```
Pu2Bi2H
1.0
1.8069 -8.0496 0.0000
1.8069 8.0496 0.0000
0.0000 0.0000 7.5880
Pu Bi H
4 4 2
direct
0.0690 0.9310 0.5000
0.3900 0.6100 0.2147
0.6100 0.3900 0.7147
0.9310 0.0690 0.0000
0.2511 0.7489 0.9173
0.4082 0.5918 0.6377
0.5918 0.4082 0.1377
0.7489 0.2511 0.4173
0.0398 0.9602 0.8053
0.9602 0.0398 0.3053
```

=====

Entry 7:
For KCu2H20N3Cl8O4, DFT lattice parameters and positions (GGA-PBE) gives the simulated X-ray diffraction stick pattern in this record (Cu Kα (λ = 1.5418 Å)).

Most intense lines, 15° ≤ 2θ ≤ 90°, by intensity:
two_theta	intensity
32.84	100.0
15.97	86.7
32.26	58.6
28.17	42.0
16.25	36.8
27.67	35.5
22.25	32.8
57.15	29.6
25.83	27.5
47.13	22.4

Cell and atoms:
```
KCu2H20N3Cl8O4
1.0
7.7140 0.0000 0.0000
0.0000 7.7140 0.0000
0.0000 0.0000 7.9921
K Cu H N Cl O
1 2 20 3 8 4
direct
0.0000 0.0000 0.0000
0.0000 0.5000 0.7585
0.5000 0.0000 0.2415
0.0737 0.0819 0.4256
0.0755 0.4274 0.0767
0.0754 0.4275 0.4401
0.0819 0.9263 0.5744
0.4144 0.4305 0.4253
0.4157 0.4293 0.0747
0.4274 0.9245 0.9233
0.4275 0.9246 0.5599
0.4293 0.5843 0.9253
0.4305 0.5856 0.5747
0.5695 0.4144 0.5747
0.5707 0.4157 0.9253
0.5725 0.0754 0.5599
0.5726 0.0755 0.9233
0.5843 0.5707 0.0747
0.5856 0.5695 0.4253
0.9181 0.0737 0.5744
0.9246 0.5725 0.4401
0.9245 0.5726 0.0767
0.9263 0.9181 0.4256
0.0000 0.0000 0.5000
0.5000 0.5000 0.0000
0.5000 0.5000 0.5000
0.1982 0.2826 0.7606
0.2204 0.2905 0.2573
0.2826 0.8018 0.2394
0.2905 0.7796 0.7427
0.7095 0.2204 0.7427
0.7174 0.1982 0.2394
0.7796 0.7095 0.2573
0.8018 0.7174 0.7606
0.0000 0.5000 0.0045
0.0000 0.5000 0.5122
0.5000 0.0000 0.4878
0.5000 0.0000 0.9955
```

=====

Entry 8:
For Nd3Zn2Ru, DFT lattice parameters and positions (GGA-PBE) gives the simulated X-ray diffraction stick pattern in this record (Cu Kα (λ = 1.5418 Å)).

Most intense lines, 15° ≤ 2θ ≤ 90°, by intensity:
two_theta	intensity
31.42	100.0
36.33	57.7
40.27	55.5
33.76	43.5
25.88	38.7
29.48	31.3
30.63	30.9
41.05	24.6
53.18	23.2
33.19	23.0

Cell and atoms:
```
Nd3Zn2Ru
1.0
12.3126 0.0000 0.0000
0.0000 4.4788 0.0000
0.0000 0.0000 11.0676
Nd Zn Ru
12 8 4
direct
0.0543 0.2500 0.1146
0.1122 0.7500 0.5561
0.2357 0.2500 0.7876
0.2643 0.7500 0.2876
0.3878 0.2500 0.0561
0.4457 0.7500 0.6146
0.5543 0.2500 0.3854
0.6122 0.7500 0.9439
0.7357 0.2500 0.7124
0.7643 0.7500 0.2124
0.8878 0.2500 0.4439
0.9457 0.7500 0.8854
0.0119 0.7500 0.2997
0.2053 0.7500 0.9923
0.2947 0.2500 0.4923
0.4881 0.2500 0.7997
0.5119 0.7500 0.2003
0.7053 0.7500 0.5077
0.7947 0.2500 0.0077
0.9881 0.2500 0.7003
0.1167 0.2500 0.3610
0.3833 0.7500 0.8610
0.6167 0.2500 0.1390
0.8833 0.7500 0.6390
```

=====

Entry 9:
For Cs2K3Sn2, DFT lattice parameters and positions (GGA-PBE) gives the simulated X-ray diffraction stick pattern in this record (Cu Kα (λ = 1.5418 Å)).

Most intense lines, 15° ≤ 2θ ≤ 90°, by intensity:
two_theta	intensity
25.46	100.0
25.58	88.7
15.55	83.2
27.85	70.5
20.95	45.6
38.18	41.1
23.55	39.4
31.93	38.9
29.64	33.8
32.70	24.7

Cell and atoms:
```
Cs2K3Sn2
1.0
7.2424 -3.2037 0.0000
7.2424 3.2037 0.0000
-4.8876 0.0000 8.2145
Cs K Sn
2 3 2
direct
0.1608 0.1608 0.2967
0.8392 0.8392 0.7033
0.3490 0.3490 0.0433
0.5000 0.5000 0.5000
0.6510 0.6510 0.9567
0.0978 0.0978 0.6681
0.9022 0.9022 0.3319
```

=====

Entry 10:
For Pr2DyY4Ho2, DFT lattice parameters and positions (GGA-PBE) gives the simulated X-ray diffraction stick pattern in this record (Cu Kα (λ = 1.5418 Å)).

Most intense lines, 15° ≤ 2θ ≤ 90°, by intensity:
two_theta	intensity
30.51	100.0
35.38	50.6
50.88	29.7
60.47	24.6
60.57	17.5
82.88	10.0
63.46	6.2
63.56	6.0
50.98	5.9
85.51	5.4

Cell and atoms:
```
Pr2DyY4Ho2
1.0
6.2073 0.0000 0.0000
1.0471 6.1302 0.0000
2.0593 0.7019 7.7258
Pr Dy Y Ho
2 1 4 2
direct
0.1697 0.3310 0.3332
0.8303 0.6690 0.6668
0.5000 0.0000 0.0000
0.0559 0.1104 0.7787
0.2776 0.5542 0.8883
0.7224 0.4458 0.1117
0.9441 0.8896 0.2213
0.3908 0.7774 0.4440
0.6092 0.2226 0.5560
```

=====

Entry 11:
For LiDy2Ni12P3, DFT lattice parameters and positions (GGA-PBE) gives the simulated X-ray diffraction stick pattern in this record (Cu Kα (λ = 1.5418 Å)).

Most intense lines, 15° ≤ 2θ ≤ 90°, by intensity:
two_theta	intensity
43.26	100.0
46.06	35.9
39.52	30.6
31.30	30.1
33.61	17.9
22.72	17.4
65.28	16.5
79.35	14.8
49.41	13.7
44.06	12.1

Cell and atoms:
```
LiDy2Ni12P3
1.0
4.1829 2.4150 3.9136
-4.1829 2.4150 3.9136
0.0000 -4.8300 3.9136
Li Dy Ni P
1 2 12 3
direct
0.0000 0.0000 0.0000
0.3481 0.3481 0.3481
0.6519 0.6519 0.6519
0.1012 0.6228 0.6228
0.1791 0.1791 0.6914
0.1791 0.6914 0.1791
0.3086 0.8209 0.8209
0.3772 0.3772 0.8988
0.3772 0.8988 0.3772
0.6228 0.1012 0.6228
0.6228 0.6228 0.1012
0.6914 0.1791 0.1791
0.8209 0.3086 0.8209
0.8209 0.8209 0.3086
0.8988 0.3772 0.3772
0.0000 0.0000 0.5000
0.0000 0.5000 0.0000
0.5000 0.0000 0.0000
```

=====

Entry 12:
For La2CuSnSe5, DFT lattice parameters and positions (GGA-PBE) gives the simulated X-ray diffraction stick pattern in this record (Cu Kα (λ = 1.5418 Å)).

Most intense lines, 15° ≤ 2θ ≤ 90°, by intensity:
two_theta	intensity
31.05	100.0
36.40	30.6
43.84	30.3
33.30	19.1
26.38	15.7
72.57	10.2
42.49	9.7
44.42	9.4
51.57	9.1
23.75	9.0

Cell and atoms:
```
La2CuSnSe5
1.0
2.0647 -8.8674 0.0000
2.0647 8.8674 0.0000
0.0000 0.0000 12.3981
La Cu Sn Se
4 2 2 10
direct
0.1160 0.8840 0.5000
0.1177 0.8823 0.1205
0.8823 0.1177 0.6205
0.8840 0.1160 0.0000
0.4955 0.5045 0.8005
0.5045 0.4955 0.3005
0.1878 0.8122 0.8151
0.8122 0.1878 0.3151
0.0377 0.9623 0.8809
0.2927 0.7073 0.4772
0.2968 0.7032 0.1469
0.3532 0.6468 0.8130
0.4932 0.5068 0.1056
0.5068 0.4932 0.6056
0.6468 0.3532 0.3130
0.7032 0.2968 0.6469
0.7073 0.2927 0.9772
0.9623 0.0377 0.3809
```